Record 1
This entry pairs a crystal structure of Ho5Hf3N8 with its computed X-ray diffraction stick pattern. Radiation: a wavelength of 1.5418 Å. Structure: a structure optimized by DFT (PBE).
Intensities are scaled so that the largest is 1000.

Atomic structure:
```
Ho5Hf3N8
1.0
3.3357 1.9259 5.4882
-3.3357 1.9259 5.4882
0.0000 -3.8517 5.4882
Ho Hf N
5 3 8
Cartesian
0.0000 0.0000 0.0000
-1.6678 -0.9629 5.4882
-1.6678 0.9629 10.9764
0.0000 1.9259 5.4882
0.0000 0.0000 8.2323
-3.3357 0.0000 8.2323
-1.6678 0.9629 2.7441
1.6678 0.9629 2.7441
-1.7242 -0.9955 9.5111
0.0000 0.0000 3.9963
0.0000 -1.9909 6.9535
-1.7242 0.9955 6.9535
1.7242 -0.9955 9.5111
0.0000 1.9909 9.5111
0.0000 0.0000 12.4683
1.7242 0.9955 6.9535
```

The 10 most intense peaks (2θ from 5° to 70°), in order of falling intensity:
d_spacing, intensity
2.726, 1000
2.365, 929
2.744, 340
1.676, 317
1.668, 314
1.425, 293
1.363, 158
1.430, 149
1.423, 145
1.372, 53

***

Record 2
This entry pairs a crystal structure of RbNaPb6 with its computed X-ray diffraction stick pattern. Radiation: a wavelength of 1.5418 Å. Structure: a structure optimized by DFT (PBE).
Intensities are scaled so that the largest is 1000.

Atomic structure:
```
RbNaPb6
1.0
5.7017 0.0000 0.0000
0.0000 7.4905 0.0000
0.0000 0.0000 6.2612
Rb Na Pb
1 1 6
Cartesian
0.0000 0.0000 0.0000
2.8509 3.7452 1.9129
0.0000 2.0879 3.1049
0.0000 3.7452 6.0693
0.0000 5.4026 3.1049
2.8509 0.0000 2.5948
2.8509 2.1160 5.0770
2.8509 5.3745 5.0770
```

The 12 most intense peaks (2θ from 5° to 70°), in order of falling intensity:
d_spacing, intensity
2.800, 1000
2.851, 372
2.744, 359
1.636, 207
3.214, 171
3.131, 147
1.536, 138
4.804, 138
6.261, 133
1.823, 119
2.133, 112
4.537, 105

***

Record 3
This entry pairs a crystal structure of Nd4ZnSe2S with its computed X-ray diffraction stick pattern. Radiation: a wavelength of 1.5418 Å. Structure: a structure optimized by DFT (PBE).
Intensities are scaled so that the largest is 1000.

Atomic structure:
```
Nd4ZnSe2S
1.0
7.3121 0.0000 0.0000
0.0000 4.1395 0.0000
-2.3716 0.0000 6.9606
Nd Zn Se S
4 1 2 1
Cartesian
1.2045 0.0000 1.6686
0.0237 2.0697 5.2446
4.9167 2.0697 1.7160
3.7360 0.0000 5.2921
3.6560 0.0000 0.0000
-1.1858 0.0000 3.4803
2.4702 2.0697 3.4803
0.0000 2.0697 0.0000
```

The 12 most intense peaks (2θ from 5° to 70°), in order of falling intensity:
d_spacing, intensity
2.971, 1000
2.981, 506
2.109, 374
2.100, 371
3.400, 193
2.134, 192
1.700, 191
2.070, 178
1.486, 120
3.480, 101
1.740, 101
3.461, 100

***

Record 4
This entry pairs a crystal structure of K2CeP2O7 with its computed X-ray diffraction stick pattern. Radiation: a wavelength of 1.5418 Å. Structure: a structure optimized by DFT (PBE).
Intensities are scaled so that the largest is 1000.

Atomic structure:
```
K2CeP2O7
1.0
3.0694 1.7721 6.6419
-3.0694 1.7721 6.6419
0.0000 -3.5442 6.6419
K Ce P O
2 1 2 7
Cartesian
0.0000 0.0000 4.7637
0.0000 0.0000 15.1619
0.0000 0.0000 0.0000
0.0000 0.0000 8.3558
0.0000 0.0000 11.5698
0.0000 -1.4792 7.9395
-1.2810 0.7396 7.9395
-1.2810 -0.7396 11.9862
0.0000 0.0000 9.9628
1.2810 0.7396 7.9395
1.2810 -0.7396 11.9861
0.0000 1.4792 11.9861
```

The 12 most intense peaks (2θ from 5° to 70°), in order of falling intensity:
d_spacing, intensity
3.069, 1000
3.189, 841
4.690, 729
3.635, 553
6.642, 515
2.345, 493
1.795, 392
1.864, 301
1.460, 213
2.255, 204
1.383, 199
1.535, 187

***

Record 5
This entry pairs a crystal structure of BaTl2P2O7 with its computed X-ray diffraction stick pattern. Radiation: a wavelength of 1.5418 Å. Structure: a structure optimized by DFT (PBE).
Intensities are scaled so that the largest is 1000.

Atomic structure:
```
BaTl2P2O7
1.0
2.9372 1.6958 7.4861
-2.9372 1.6958 7.4861
0.0000 -3.3915 7.4861
Ba Tl P O
1 2 2 7
Cartesian
0.0000 0.0000 0.0000
0.0000 0.0000 4.4775
0.0000 0.0000 17.9808
0.0000 0.0000 9.5997
0.0000 0.0000 12.8585
-0.6156 -1.3471 9.1911
-0.8588 -1.2067 13.2672
-0.8588 1.2067 9.1911
0.0000 0.0000 11.2291
-0.6156 1.3471 13.2672
1.4744 0.1404 9.1910
1.4744 -0.1404 13.2672
```

The 12 most intense peaks (2θ from 5° to 70°), in order of falling intensity:
d_spacing, intensity
3.367, 1000
2.937, 687
1.768, 263
7.486, 262
2.213, 261
2.055, 239
3.770, 193
2.734, 175
4.962, 166
1.696, 163
2.311, 146
1.461, 138

***

Record 6
This entry pairs a crystal structure of Nd4NiAg3 with its computed X-ray diffraction stick pattern. Radiation: a wavelength of 1.5418 Å. Structure: a structure optimized by DFT (PBE).
Intensities are scaled so that the largest is 1000.

Atomic structure:
```
Nd4NiAg3
1.0
3.6643 0.0000 0.0000
0.0000 3.6643 0.0000
0.0000 0.0000 15.0443
Nd Ni Ag
4 1 3
Cartesian
0.0000 0.0000 1.6564
0.0000 0.0000 5.5758
0.0000 0.0000 9.4685
0.0000 0.0000 13.3879
1.8322 1.8322 0.0000
1.8322 1.8322 3.6481
1.8322 1.8322 7.5221
1.8322 1.8322 11.3962
```

The 12 most intense peaks (2θ from 5° to 70°), in order of falling intensity:
d_spacing, intensity
2.625, 1000
2.591, 509
1.502, 349
1.832, 179
1.522, 157
1.881, 78
2.959, 39
3.664, 39
1.654, 28
3.761, 17
2.149, 16
1.394, 16

***

Record 7
This entry pairs a crystal structure of Nd2Er4Tm3 with its computed X-ray diffraction stick pattern. Radiation: a wavelength of 1.5418 Å. Structure: a structure optimized by DFT (PBE).
Intensities are scaled so that the largest is 1000.

Atomic structure:
```
Nd2Er4Tm3
1.0
8.0498 -5.7734 0.0000
8.0498 5.7734 0.0000
-0.6526 0.0000 6.0720
Nd Er Tm
4 8 6
Cartesian
5.6396 4.0843 4.1194
9.4811 4.0843 4.9887
5.9659 -4.0843 1.0833
9.8074 -4.0843 1.9527
2.9285 1.6002 5.1501
6.6505 1.6187 5.9833
3.2548 -1.6002 2.1141
8.4702 1.6187 3.1248
6.9767 -1.6187 2.9473
12.1922 1.6002 3.9580
8.7965 -1.6187 0.0888
12.5184 -1.6002 0.9220
7.8866 4.6384 1.5180
5.1347 1.1300 2.4567
4.8084 -1.1300 5.4927
10.6386 1.1300 0.5793
10.3123 -1.1300 3.6154
7.5603 -4.6384 4.5540
```

The 12 most intense peaks (2θ from 5° to 70°), in order of falling intensity:
d_spacing, intensity
2.791, 1000
2.943, 626
2.872, 599
2.887, 468
2.387, 332
2.349, 276
1.633, 212
1.806, 140
1.576, 127
1.758, 124
1.822, 119
3.122, 113

***

Record 8
This entry pairs a crystal structure of Li6PmAg12 with its computed X-ray diffraction stick pattern. Radiation: a wavelength of 1.5418 Å. Structure: a structure optimized by DFT (PBE).
Intensities are scaled so that the largest is 1000.

Atomic structure:
```
Li6PmAg12
1.0
5.9099 3.4121 2.8829
-5.9099 3.4121 2.8829
0.0000 -6.8241 2.8829
Li Pm Ag
6 1 12
Cartesian
0.0000 -2.9613 3.6392
-2.5646 1.4807 3.6392
-2.5646 -1.4807 5.0095
2.5646 1.4807 3.6392
2.5646 -1.4807 5.0095
0.0000 2.9613 5.0095
0.0000 0.0000 0.0000
-2.2606 -3.9155 4.3243
-4.5212 0.0000 4.3243
-1.4729 -0.8504 2.6753
1.4729 -0.8504 2.6753
0.0000 1.7007 2.6753
2.2606 -3.9155 4.3243
-2.2606 3.9155 4.3243
0.0000 -1.7008 5.9733
-1.4729 0.8504 5.9733
1.4729 0.8504 5.9733
4.5212 0.0000 4.3243
2.2606 3.9155 4.3243
```

The 12 most intense peaks (2θ from 5° to 70°), in order of falling intensity:
d_spacing, intensity
2.697, 1000
2.591, 501
1.850, 322
2.202, 262
3.983, 205
3.303, 205
3.412, 198
1.477, 151
1.888, 135
1.442, 133
2.373, 132
2.064, 131